[1]
Theoretical powder diffraction line list
Compound: K3DyCl6
Radiation: Cu Ka
Structure: a structure optimized by DFT (PBE)
Peak positions follow from Bragg's law for the DFT cell and can differ from measured ones.

Top 12 peaks for 10° ≤ 2θ ≤ 90°, sorted by position:
2θ (°)  d/Å  I (rel.)  h k l
13.81  6.411  100.0  0 1 1
14.46  6.125  48.7  1 0 -2
16.20  5.472  82.9  1 1 -1
16.43  5.396  31.4  0 0 2
23.00  3.867  67.3  1 1 1
23.30  3.818  63.7  1 1 -3
27.35  3.260  36.3  2 1 -1
27.67  3.224  30.7  1 0 -4
32.73  2.736  57.7  2 2 -2
36.63  2.453  41.1  2 2 0
41.00  2.201  36.6  3 1 -1
41.52  2.175  43.4  2 0 -6

Structural model:
Cell: 7.5287 7.9697 13.0530 Å, 90.00 124.22 90.00°
Space group P2_1/c (No. 14)
One atom of each set of equivalent atoms:
K  0.0000  0.0000  0.0000 x2
K  0.2142  0.0722  0.7425 x4
Dy  0.5000  0.0000  0.5000 x2
Cl  0.1606  0.1802  0.4431 x4
Cl  0.2549  0.7254  0.4230 x4
Cl  0.4027  0.0564  0.2733 x4



[2]
Theoretical powder diffraction line list
Compound: Cs2NaInI5
Radiation: Cu Ka
Structure: a structure optimized by DFT (PBE)
Peak positions follow from Bragg's law for the DFT cell and can differ from measured ones.

Top 12 peaks for 10° ≤ 2θ ≤ 90°, sorted by position:
2θ (°)  d/Å  I (rel.)  h k l
23.55  3.778  47.3  1 3 2
24.06  3.698  30.4  0 4 3
24.42  3.646  100.0  1 1 3
24.98  3.565  18.1  0 2 4
25.18  3.537  44.1  0 6 1
26.14  3.409  27.0  1 5 0
28.74  3.106  28.9  1 5 2
31.71  2.822  16.6  1 5 3
32.82  2.728  41.6  2 0 0
39.68  2.271  11.2  1 1 6
41.07  2.198  36.9  1 7 4
41.82  2.160  26.0  2 6 1

Structural model:
Cell: 5.4570 21.8273 15.0872 Å, 90.00 90.00 90.00°
Space group Cmc2_1 (No. 36)
One atom of each set of equivalent atoms:
Cs  0.0000  0.1281  0.0000 x4
Cs  0.0000  0.1294  0.6365 x4
Na  0.0000  0.2148  0.3511 x4
In  0.0000  0.4334  0.7645 x4
I  0.0000  0.0511  0.3339 x4
I  0.0000  0.3058  0.9669 x4
I  0.0000  0.3109  0.6841 x4
I  0.0000  0.3543  0.3209 x4
I  0.0000  0.4969  0.5932 x4



[3]
Theoretical powder diffraction line list
Compound: AcNd6Ho2Er
Radiation: Cu Ka
Structure: a structure optimized by DFT (PBE)
Peak positions follow from Bragg's law for the DFT cell and can differ from measured ones.

Top 12 peaks for 10° ≤ 2θ ≤ 90°, sorted by position:
2θ (°)  d/Å  I (rel.)  h k l
27.65  3.227  100.0  1 3 2
29.73  3.005  66.7  3 1 -1
30.00  2.979  74.5  0 2 3
30.12  2.967  88.0  2 2 2
30.40  2.941  57.5  1 5 0
30.79  2.904  52.8  2 4 -1
31.51  2.839  38.7  1 5 -1
33.34  2.687  51.1  1 3 -3
34.17  2.624  18.7  2 2 -3
51.57  1.772  18.3  1 7 3
52.97  1.729  18.2  4 2 -4
57.34  1.607  19.8  4 0 4

Structural model:
Cell: 9.4215 15.4853 9.7252 Å, 90.00 95.65 90.00°
Space group C2/c (No. 15)
One atom of each set of equivalent atoms:
Ac  0.0000  0.0281  0.2500 x4
Nd  0.0601  0.1839  0.9459 x8
Nd  0.0998  0.3896  0.1172 x8
Nd  0.2197  0.2257  0.3152 x8
Ho  0.2396  0.4457  0.4520 x8
Er  0.0000  0.4135  0.7500 x4



[4]
Theoretical powder diffraction line list
Compound: Sm2Zn16Ga
Radiation: Cu Ka
Structure: a structure optimized by DFT (PBE)
Peak positions follow from Bragg's law for the DFT cell and can differ from measured ones.

Top 12 peaks for 10° ≤ 2θ ≤ 90°, sorted by position:
2θ (°)  d/Å  I (rel.)  h k l
28.31  3.152  24.9  1 1 3
34.30  2.614  39.2  3 0 0
35.60  2.522  20.6  0 2 4
39.82  2.264  57.5  2 2 0
40.15  2.246  100.0  0 3 3
41.12  2.195  31.7  0 0 6
41.29  2.187  18.5  2 0 5
45.05  2.012  30.4  2 2 3
58.57  1.576  15.3  2 2 6
65.38  1.427  16.8  3 3 3
72.29  1.307  19.3  6 0 0
74.27  1.277  19.9  0 3 9

Structural model:
Cell: 9.0558 9.0558 13.1720 Å, 90.00 90.00 120.00°
Space group R3m (No. 160, hexagonal axes)
One atom of each set of equivalent atoms:
Sm  0.0000  0.0000  0.0000 x3
Sm  0.0000  0.0000  0.3321 x3
Zn  0.0000  0.0000  0.5692 x3
Zn  0.0001  0.2996  0.6659 x18
Zn  0.0053  0.5027  0.1659 x9
Zn  0.0091  0.5045  0.8207 x9
Zn  0.1727  0.3454  0.8453 x9
Ga  0.0000  0.0000  0.7660 x3



[5]
Theoretical powder diffraction line list
Compound: Pm3Ag2Pd3
Radiation: Cu Ka
Structure: a structure optimized by DFT (PBE)
Peak positions follow from Bragg's law for the DFT cell and can differ from measured ones.

Top 12 peaks for 10° ≤ 2θ ≤ 90°, sorted by position:
2θ (°)  d/Å  I (rel.)  h k l
31.09  2.876  22.3  0 0 2
31.65  2.827  15.6  2 1 0
35.38  2.537  62.5  2 1 1
36.03  2.493  100.0  3 0 0
37.57  2.394  90.7  1 1 2
46.54  1.951  19.4  3 1 1
48.31  1.884  17.1  3 0 2
53.04  1.727  24.3  2 2 2
65.79  1.419  16.1  4 1 2
68.34  1.373  16.6  4 2 1
72.23  1.308  16.1  5 1 1
76.46  1.246  23.8  3 0 4

Structural model:
Cell: 8.6356 8.6356 5.7525 Å, 90.00 90.00 120.00°
Space group P6_3/mcm (No. 193)
One atom of each set of equivalent atoms:
Pm  0.0000  0.2858  0.2500 x6
Ag  0.3333  0.6667  0.0000 x4
Pd  0.0000  0.3793  0.7500 x6



[6]
Theoretical powder diffraction line list
Compound: Zr2HS
Radiation: Cu Ka
Structure: a structure optimized by DFT (PBE)
Peak positions follow from Bragg's law for the DFT cell and can differ from measured ones.

Top 12 peaks for 10° ≤ 2θ ≤ 90°, sorted by position:
2θ (°)  d/Å  I (rel.)  h k l
28.73  3.107  13.0  0 3 0
30.98  2.886  38.5  0 2 1
31.35  2.854  36.5  1 2 0
34.83  2.575  100.0  1 0 1
37.92  2.373  40.2  0 3 1
38.22  2.355  38.7  1 3 0
45.76  1.983  13.9  1 3 1
49.59  1.838  17.4  0 0 2
50.58  1.805  16.9  2 0 0
61.40  1.510  18.1  1 5 1
64.29  1.449  16.2  1 3 2
64.92  1.436  15.6  2 3 1

Structural model:
Cell: 3.6092 9.3206 3.6763 Å, 90.00 90.00 90.00°
Space group Pmn2_1 (No. 31)
One atom of each set of equivalent atoms:
Zr  0.0000  0.0935  0.0000 x2
Zr  0.0000  0.6900  0.0010 x2
H  0.0000  0.8910  0.7766 x2
S  0.0000  0.3821  0.9996 x2